1.
This entry pairs a crystal structure of AlH15O6F6 with its simulated PXRD pattern. Radiation: Cu Kα (weighted mean of Kα1 and Kα2). Structure: the PBE geometry in the Materials Project.
Intensities are scaled so that the largest is 100.

The 10 most intense peaks (2θ = 10–80°), by intensity:
- 4.986 Å, intensity 100
- 6.161 Å, intensity 73
- 3.905 Å, intensity 73
- 2.619 Å, intensity 44
- 4.950 Å, intensity 42
- 2.607 Å, intensity 42
- 3.070 Å, intensity 33
- 6.108 Å, intensity 33
- 2.121 Å, intensity 26
- 3.057 Å, intensity 22

Cell and atoms:
a b c (Å): 8.1836 8.1944 8.1979
angles (deg): 74.31 74.77 75.24
Fractional positions:
Al  0.0000  0.0000  0.0000
Al  0.5000  0.5000  0.5000
H  0.0461  0.7045  0.8112
H  0.0909  0.4319  0.2455
H  0.1231  0.6371  0.6312
H  0.1270  0.1386  0.6309
H  0.1406  0.6330  0.1258
H  0.1869  0.9543  0.2971
H  0.2119  0.5518  0.3113
H  0.2455  0.0918  0.4310
H  0.2885  0.1873  0.9502
H  0.3133  0.2102  0.5505
H  0.3605  0.3737  0.8681
H  0.3677  0.8788  0.3643
H  0.3778  0.8680  0.8632
H  0.4082  0.2545  0.0685
H  0.4522  0.6879  0.7967
H  0.5478  0.3121  0.2033
H  0.5918  0.7455  0.9315
H  0.6222  0.1320  0.1368
H  0.6323  0.1212  0.6357
H  0.6395  0.6263  0.1319
H  0.6867  0.7898  0.4495
H  0.7115  0.8127  0.0498
H  0.7545  0.9082  0.5690
H  0.7881  0.4482  0.6887
H  0.8131  0.0457  0.7029
H  0.8594  0.3670  0.8742
H  0.8730  0.8614  0.3691
H  0.8769  0.3629  0.3688
H  0.9091  0.5681  0.7545
H  0.9539  0.2955  0.1888
O  0.0163  0.6730  0.7155
O  0.1822  0.5255  0.2106
O  0.2119  0.1815  0.5237
O  0.2831  0.9850  0.3275
O  0.3181  0.2888  0.9761
O  0.4835  0.7835  0.8269
O  0.5165  0.2165  0.1731
O  0.6819  0.7112  0.0239
O  0.7169  0.0150  0.6725
O  0.7881  0.8185  0.4763
O  0.8178  0.4745  0.7894
O  0.9837  0.3270  0.2845
F  0.0273  0.9246  0.2252
F  0.0771  0.7765  0.9710
F  0.2240  0.0340  0.9264
F  0.2773  0.5764  0.4651
F  0.4217  0.5283  0.7239
F  0.4665  0.2759  0.5746
F  0.5335  0.7241  0.4254
F  0.5783  0.4717  0.2761
F  0.7227  0.4236  0.5349
F  0.7760  0.9660  0.0736
F  0.9229  0.2235  0.0290
F  0.9727  0.0754  0.7748


2.
This entry pairs a crystal structure of AlH2Pb3OF9 with its simulated PXRD pattern. Radiation: Cu Kα (weighted mean of Kα1 and Kα2). Structure: the PBE geometry in the Materials Project.
Intensities are scaled so that the largest is 100.

The 10 most intense peaks (2θ = 10–80°), by intensity:
- 3.201 Å, intensity 100
- 3.382 Å, intensity 79
- 3.702 Å, intensity 75
- 3.557 Å, intensity 70
- 3.183 Å, intensity 51
- 2.058 Å, intensity 39
- 2.856 Å, intensity 38
- 2.967 Å, intensity 38
- 2.207 Å, intensity 28
- 5.056 Å, intensity 22

Cell and atoms:
a b c (Å): 5.7273 5.9526 12.9155
angles (deg): 98.76 94.05 90.34
Fractional positions:
Al  0.2057  0.3825  0.1910
Al  0.7943  0.6175  0.8090
H  0.1760  0.7429  0.9918
H  0.4050  0.6569  0.9378
H  0.5950  0.3431  0.0622
H  0.8240  0.2571  0.0082
Pb  0.2348  0.9507  0.3846
Pb  0.2764  0.5054  0.6190
Pb  0.3071  0.1158  0.8628
Pb  0.6929  0.8842  0.1372
Pb  0.7236  0.4946  0.3810
Pb  0.7652  0.0493  0.6154
O  0.3416  0.7824  0.9870
O  0.6584  0.2176  0.0130
F  0.0027  0.2452  0.4960
F  0.0396  0.6390  0.1841
F  0.0478  0.7726  0.7722
F  0.1464  0.2771  0.0529
F  0.2691  0.4947  0.3336
F  0.2985  0.1346  0.6722
F  0.3834  0.1322  0.2156
F  0.4821  0.5205  0.1666
F  0.4989  0.2400  0.4919
F  0.5011  0.7600  0.5081
F  0.5179  0.4795  0.8334
F  0.6166  0.8678  0.7844
F  0.7015  0.8654  0.3278
F  0.7309  0.5053  0.6664
F  0.8536  0.7229  0.9471
F  0.9522  0.2274  0.2278
F  0.9604  0.3610  0.8159
F  0.9973  0.7548  0.5040